For NdDy2Hg4, a cell relaxed with PBE gives the simulated XRD peak list in this record (Cu Kα (weighted mean of Kα1 and Kα2)).
No peak broadening, texture or thermal motion is included.

Crystal structure
```
7
Lattice="2.5574 1.4765 8.8435 -2.5574 1.4765 8.8435 0.0000 -2.9530 8.8435" Properties=species:S:1:pos:R:3 pbc="T T T"
Nd 0.0000 0.0000 0.0000
Dy 0.0000 0.0000 6.4286
Dy 0.0000 0.0000 20.1020
Hg 0.0000 0.0000 3.3768
Hg 0.0000 0.0000 10.1444
Hg 0.0000 0.0000 16.3862
Hg 0.0000 0.0000 23.1538
```

Top 10 peaks for 10 to 90 degrees two-theta, low angle first:
2θ (°)  I (rel.)
24.16  17
26.21  12
33.76  100
35.09  98
49.49  35
59.53  15
62.10  35
62.95  18
81.74  13
84.01  16